[1]
Diffraction record for MgSb2P2O10. The powder X-ray diffraction pattern is theoretical, not measured: it uses DFT lattice parameters and positions (PBE) and Cu Kα, 1.54184 Å.
Peak positions follow from Bragg's law for the DFT cell and can differ from measured ones.

Cell and atoms:
a b c (Å): 8.974 7.410 10.221
angles (deg): 58.63 44.83 76.53
Fractional positions:
1 Mg 0.000 0.000 0.000
2 Mg 0.250 0.250 0.250
3 Sb 0.164 0.636 0.622
4 Sb 0.628 0.672 0.086
5 Sb 0.636 0.164 0.578
6 Sb 0.672 0.628 0.614
7 P 0.100 0.508 0.026
8 P 0.224 0.883 0.150
9 P 0.508 0.100 0.367
10 P 0.883 0.224 0.742
11 O 0.020 0.716 0.011
12 O 0.035 0.271 0.753
13 O 0.149 0.466 0.864
14 O 0.239 0.997 0.230
15 O 0.271 0.035 0.941
16 O 0.300 0.931 0.514
17 O 0.309 0.497 0.979
18 O 0.386 0.728 0.101
19 O 0.445 0.612 0.378
20 O 0.466 0.149 0.522
21 O 0.497 0.309 0.215
22 O 0.612 0.445 0.565
23 O 0.685 0.872 0.638
24 O 0.716 0.020 0.253
25 O 0.728 0.386 0.784
26 O 0.736 0.996 0.950
27 O 0.872 0.685 0.805
28 O 0.931 0.300 0.254
29 O 0.996 0.736 0.319
30 O 0.997 0.239 0.534

Largest 10 diffraction maxima, sorted by position, 15° ≤ 2θ ≤ 90°:
- 21.2 deg, I 29
- 22.0 deg, I 38
- 24.7 deg, I 69
- 26.3 deg, I 23
- 26.7 deg, I 19
- 29.0 deg, I 100
- 29.3 deg, I 46
- 30.8 deg, I 65
- 49.8 deg, I 19
- 50.7 deg, I 33

***

[2]
Diffraction record for MgSb2P2O9. The powder X-ray diffraction pattern is theoretical, not measured: it uses DFT lattice parameters and positions (PBE) and Cu Kα, 1.54184 Å.
Peak positions follow from Bragg's law for the DFT cell and can differ from measured ones.

Cell and atoms:
a b c (Å): 15.788 6.948 6.695
angles (deg): 90.00 90.00 90.00
Fractional positions:
1 Mg 0.231 0.250 0.078
2 Mg 0.269 0.750 0.578
3 Mg 0.731 0.250 0.422
4 Mg 0.769 0.750 0.922
5 Sb 0.000 0.000 0.000
6 Sb 0.000 0.500 0.000
7 Sb 0.117 0.250 0.600
8 Sb 0.383 0.750 0.100
9 Sb 0.500 0.000 0.500
10 Sb 0.500 0.500 0.500
11 Sb 0.617 0.250 0.900
12 Sb 0.883 0.750 0.400
13 P 0.088 0.750 0.581
14 P 0.197 0.750 0.073
15 P 0.303 0.250 0.573
16 P 0.412 0.250 0.081
17 P 0.588 0.750 0.919
18 P 0.697 0.750 0.427
19 P 0.803 0.250 0.927
20 P 0.912 0.250 0.419
21 O 0.025 0.750 0.766
22 O 0.035 0.750 0.392
23 O 0.081 0.250 0.897
24 O 0.145 0.561 0.084
25 O 0.145 0.939 0.084
26 O 0.150 0.576 0.596
27 O 0.150 0.924 0.596
28 O 0.238 0.250 0.756
29 O 0.243 0.250 0.388
30 O 0.257 0.750 0.888
31 O 0.262 0.750 0.256
32 O 0.350 0.076 0.096
33 O 0.350 0.424 0.096
34 O 0.355 0.061 0.584
35 O 0.355 0.439 0.584
36 O 0.419 0.750 0.397
37 O 0.465 0.250 0.892
38 O 0.475 0.250 0.266
39 O 0.525 0.750 0.734
40 O 0.535 0.750 0.108
41 O 0.581 0.250 0.603
42 O 0.645 0.561 0.416
43 O 0.645 0.939 0.416
44 O 0.650 0.576 0.904
45 O 0.650 0.924 0.904
46 O 0.738 0.250 0.744
47 O 0.743 0.250 0.112
48 O 0.757 0.750 0.612
49 O 0.762 0.750 0.244
50 O 0.850 0.076 0.404
51 O 0.850 0.424 0.404
52 O 0.855 0.061 0.916
53 O 0.855 0.439 0.916
54 O 0.919 0.750 0.103
55 O 0.965 0.250 0.608
56 O 0.975 0.250 0.234

Largest 10 diffraction maxima, sorted by position, 15° ≤ 2θ ≤ 90°:
- 17.4 deg, I 32
- 21.5 deg, I 51
- 26.6 deg, I 35
- 27.2 deg, I 35
- 29.5 deg, I 100
- 31.3 deg, I 61
- 43.1 deg, I 26
- 44.0 deg, I 22
- 50.1 deg, I 22
- 52.7 deg, I 23